[1]
# Pm2PbCl8
Calculated powder diffraction line list, Cu Kα, 1.54184 Å. Input: a structure optimized by DFT (GGA-PBE).

Unit cell a=11.261 b=8.804 c=7.255 alpha=90.00 beta=104.02 gamma=90.00
Space group C2/m (No. 12)
One atom of each set of equivalent atoms:
Pm  0.181  0.000  0.446 (multiplicity 4)
Pb  0.000  0.500  0.000 (multiplicity 2)
Cl  0.063  0.000  0.740 (multiplicity 4)
Cl  0.139  0.309  0.322 (multiplicity 8)
Cl  0.198  0.500  0.829 (multiplicity 4)

Peak list (10 most intense, 10° ≤ 2θ ≤ 90°, low angle first)
Position (°2θ), I (rel.), index
16.6, 48, 1 1 -1
18.0, 82, 2 0 -1
19.4, 100, 1 1 1
20.2, 81, 0 2 0
26.5, 35, 3 1 0
30.7, 41, 2 2 1
32.4, 38, 3 1 -2
34.9, 48, 1 3 1
41.0, 47, 0 4 0
43.3, 33, 2 2 -3

---

[2]
# Rb2PmPbCl8
Calculated powder diffraction line list, Cu Kα, 1.54184 Å. Input: a structure optimized by DFT (GGA-PBE).

Unit cell a=6.944 b=8.647 c=7.403 alpha=90.00 beta=92.24 gamma=90.00
Space group P2/m (No. 10)
One atom of each set of equivalent atoms:
Rb  0.000  0.248  0.000 (multiplicity 2)
Pm  0.500  0.000  0.500 (multiplicity 1)
Pb  0.500  0.500  0.500 (multiplicity 1)
Cl  0.282  0.000  0.195 (multiplicity 2)
Cl  0.283  0.247  0.627 (multiplicity 4)
Cl  0.295  0.500  0.190 (multiplicity 2)

Peak list (10 most intense, 10° ≤ 2θ ≤ 90°, low angle first)
Position (°2θ), I (rel.), index
12.0, 36, 0 0 1
12.8, 35, 1 0 0
17.2, 100, 1 0 -1
17.9, 71, 1 0 1
23.8, 38, 0 2 1
24.3, 78, 1 2 0
34.1, 35, 1 2 -2
34.8, 38, 2 0 -2
35.0, 63, 2 2 -1
42.2, 36, 0 2 3

---

[3]
# Pm3RhPbCl
Calculated powder diffraction line list, Cu Kα, 1.54184 Å. Input: a structure optimized by DFT (GGA-PBE).

Unit cell a=7.610 b=4.612 c=9.845 alpha=90.00 beta=109.49 gamma=90.00
Space group P2_1/m (No. 11)
One atom of each set of equivalent atoms:
Pm  0.033  0.250  0.358 (multiplicity 2)
Pm  0.215  0.250  0.977 (multiplicity 2)
Pm  0.426  0.750  0.609 (multiplicity 2)
Rh  0.224  0.250  0.647 (multiplicity 2)
Pb  0.241  0.750  0.228 (multiplicity 2)
Cl  0.369  0.750  0.889 (multiplicity 2)

Peak list (10 most intense, 10° ≤ 2θ ≤ 90°, low angle first)
Position (°2θ), I (rel.), index
27.2, 78, 1 1 -2
29.5, 30, 2 0 1
30.5, 100, 2 1 -1
31.6, 28, 2 1 0
32.4, 30, 2 1 -2
33.6, 46, 1 1 -3
34.9, 25, 0 1 3
35.2, 28, 1 0 3
35.5, 45, 2 1 1
39.1, 58, 0 2 0

---

[4]
# RbPrPb2Cl8
Calculated powder diffraction line list, Cu Kα, 1.54184 Å. Input: a structure optimized by DFT (GGA-PBE).

Unit cell a=6.690 b=9.111 c=6.951 alpha=90.00 beta=90.88 gamma=90.00
Space group P2/m (No. 10)
One atom of each set of equivalent atoms:
Rb  0.000  0.000  0.000 (multiplicity 1)
Pr  0.000  0.500  0.000 (multiplicity 1)
Pb  0.500  0.247  0.500 (multiplicity 2)
Cl  0.238  0.283  0.163 (multiplicity 4)
Cl  0.253  0.500  0.680 (multiplicity 2)
Cl  0.279  0.000  0.628 (multiplicity 2)

Peak list (10 most intense, 10° ≤ 2θ ≤ 90°, low angle first)
Position (°2θ), I (rel.), index
18.3, 100, 1 0 -1
18.6, 92, 1 0 1
23.3, 59, 0 2 1
23.6, 93, 1 2 0
26.8, 31, 1 2 -1
35.0, 42, 1 2 -2
35.3, 36, 1 2 2
35.6, 55, 2 2 -1
35.9, 52, 2 2 1
43.9, 57, 0 2 3

---

[5]
# PtPbCl4
Calculated powder diffraction line list, Cu Kα, 1.54184 Å. Input: a structure optimized by DFT (GGA-PBE).

Unit cell a=6.908 b=6.908 c=7.379 alpha=90.00 beta=90.00 gamma=90.00
Space group I-4 (No. 82)
One atom of each set of equivalent atoms:
Pt  0.000  0.000  0.000 (multiplicity 2)
Pb  0.000  0.500  0.250 (multiplicity 2)
Cl  0.235  0.762  0.999 (multiplicity 8)

Peak list (10 most intense, 10° ≤ 2θ ≤ 90°, low angle first)
Position (°2θ), I (rel.), index
17.6, 100, 1 0 1
25.8, 15, 2 0 0
30.4, 51, 1 1 2
31.4, 44, 2 1 1
36.8, 28, 2 2 0
38.9, 14, 1 0 3
47.2, 15, 2 1 3
48.4, 28, 3 1 2
49.1, 16, 3 2 1
63.2, 11, 2 2 4

---

[6]
# Pu2PbCl11
Calculated powder diffraction line list, Cu Kα, 1.54184 Å. Input: a structure optimized by DFT (GGA-PBE).

Unit cell a=11.758 b=11.782 c=13.376 alpha=90.00 beta=90.00 gamma=90.00
Space group Ibam (No. 72)
One atom of each set of equivalent atoms:
Pu  0.164  0.164  0.000 (multiplicity 8)
Pb  0.000  0.500  0.250 (multiplicity 4)
Cl  0.000  0.000  0.000 (multiplicity 4)
Cl  0.060  0.279  0.135 (multiplicity 16)
Cl  0.190  0.190  0.500 (multiplicity 8)
Cl  0.220  0.441  0.365 (multiplicity 16)

Peak list (10 most intense, 10° ≤ 2θ ≤ 90°, low angle first)
Position (°2θ), I (rel.), index
13.2, 23, 0 0 2
17.0, 66, 1 1 2
18.1, 100, 1 2 1
20.1, 58, 2 0 2
23.9, 28, 1 3 0
34.4, 26, 2 2 4
35.0, 44, 3 3 2
36.1, 34, 3 1 4
37.4, 22, 4 1 3
54.2, 24, 6 0 4

---

[7]
# Pu2PbCl8
Calculated powder diffraction line list, Cu Kα, 1.54184 Å. Input: a structure optimized by DFT (GGA-PBE).

Unit cell a=21.489 b=4.033 c=7.880 alpha=90.00 beta=95.81 gamma=90.00
Space group C2/m (No. 12)
One atom of each set of equivalent atoms:
Pu  0.160  0.000  0.347 (multiplicity 4)
Pb  0.000  0.500  0.000 (multiplicity 2)
Cl  0.023  0.000  0.260 (multiplicity 4)
Cl  0.117  0.500  0.536 (multiplicity 4)
Cl  0.137  0.500  0.079 (multiplicity 4)
Cl  0.243  0.000  0.665 (multiplicity 4)

Peak list (10 most intense, 10° ≤ 2θ ≤ 90°, low angle first)
Position (°2θ), I (rel.), index
13.3, 100, 2 0 -1
21.0, 24, 4 0 1
25.0, 33, 6 0 0
25.4, 54, 1 1 1
31.8, 57, 1 1 -2
34.3, 20, 8 0 -1
39.6, 35, 7 1 1
42.1, 24, 7 1 -2
44.2, 19, 9 1 0
45.0, 14, 0 2 0

---

[8]
# PuPb2Cl6
Calculated powder diffraction line list, Cu Kα, 1.54184 Å. Input: a structure optimized by DFT (GGA-PBE).

Unit cell a=6.846 b=6.846 c=13.045 alpha=90.00 beta=90.00 gamma=90.00
Space group P4_2/mnm (No. 136)
One atom of each set of equivalent atoms:
Pu  0.000  0.000  0.000 (multiplicity 2)
Pb  0.000  0.000  0.334 (multiplicity 4)
Cl  0.196  0.196  0.162 (multiplicity 8)
Cl  0.208  0.208  0.500 (multiplicity 4)

Peak list (10 most intense, 10° ≤ 2θ ≤ 90°, low angle first)
Position (°2θ), I (rel.), index
18.3, 100, 1 1 0
24.2, 77, 1 0 3
26.0, 21, 2 0 0
35.9, 85, 2 1 3
37.1, 24, 2 2 0
41.7, 20, 3 1 0
44.9, 31, 3 0 3
45.7, 20, 1 1 6
52.6, 16, 3 2 3
59.6, 16, 4 1 3